1.
For Y2Zn3, a GGA-PBE-relaxed structure gives the theoretical X-ray diffraction stick pattern in this record (copper Kα).
No peak broadening, texture or thermal motion is included.

Atomic structure:
```
data_Y2Zn3
_chemical_formula_sum 'Y8 Zn12'
_cell_length_a 11.454
_cell_length_b 4.213
_cell_length_c 9.310
_cell_angle_alpha 90.00
_cell_angle_beta 90.27
_cell_angle_gamma 90.00
_symmetry_space_group_name_H-M 'C 1 m 1'
_symmetry_Int_Tables_number 8
loop_
_symmetry_equiv_pos_as_xyz
'x,y,z'
'x,-y,z'
'x+1/2,y+1/2,z'
'x+1/2,-y+1/2,z'
loop_
_atom_site_label
_atom_site_fract_x
_atom_site_fract_y
_atom_site_fract_z
Y1 0.000 0.000 0.000
Y2 0.029 0.500 0.454
Y3 0.225 0.000 0.303
Y4 0.313 0.500 0.612
Zn1 0.103 0.000 0.675
Zn2 0.154 0.500 0.850
Zn3 0.235 0.500 0.091
Zn4 0.281 0.000 0.924
Zn5 0.406 0.500 0.291
Zn6 0.456 0.000 0.758
```

The 8 most intense peaks (2θ from 10° to 90°), by angle:
2θ = 29.6°, d 3.015, rel. 38, hkl 1 1 -2; 2θ = 32.7°, d 2.736, rel. 31, hkl 2 0 -3; 2θ = 33.1°, d 2.704, rel. 100, hkl 3 1 1; 2θ = 36.8°, d 2.442, rel. 93, hkl 4 0 -2; 2θ = 37.1°, d 2.421, rel. 46, hkl 3 1 -2; 2θ = 42.0°, d 2.153, rel. 16, hkl 2 0 4; 2θ = 42.9°, d 2.106, rel. 45, hkl 0 2 0; 2θ = 48.7°, d 1.870, rel. 15, hkl 6 0 1

---

2.
For In4Te2Br, a GGA-PBE-relaxed structure gives the theoretical X-ray diffraction stick pattern in this record (copper Kα).
No peak broadening, texture or thermal motion is included.

Atomic structure:
```
data_In4Te2Br
_chemical_formula_sum 'In16 Te8 Br4'
_cell_length_a 9.780
_cell_length_b 9.780
_cell_length_c 9.478
_cell_angle_alpha 90.00
_cell_angle_beta 90.00
_cell_angle_gamma 90.00
_symmetry_space_group_name_H-M 'I -4 2 d'
_symmetry_Int_Tables_number 122
_symmetry_space_group_name_Hall 'I -4 2bw'
loop_
_atom_site_label
_atom_site_fract_x
_atom_site_fract_y
_atom_site_fract_z
In1 0.074 0.673 0.449
Te1 0.120 0.750 0.125
Br1 0.000 0.000 0.500
```

The 8 most intense peaks (2θ from 10° to 90°), by angle:
2θ = 28.9°, d 3.088, rel. 100, hkl 3 1 0; 2θ = 29.7°, d 3.006, rel. 45, hkl 1 0 3; 2θ = 34.4°, d 2.608, rel. 39, hkl 3 2 1; 2θ = 34.6°, d 2.590, rel. 28, hkl 3 1 2; 2θ = 35.0°, d 2.561, rel. 38, hkl 2 1 3; 2θ = 45.7°, d 1.986, rel. 17, hkl 4 2 2; 2θ = 58.2°, d 1.585, rel. 13, hkl 6 1 1; 2θ = 60.1°, d 1.541, rel. 12, hkl 1 1 6

---

3.
For RbInGaO4, a GGA-PBE-relaxed structure gives the theoretical X-ray diffraction stick pattern in this record (copper Kα).
No peak broadening, texture or thermal motion is included.

Atomic structure:
```
data_RbInGaO4
_chemical_formula_sum 'Rb2 In2 Ga2 O8'
_cell_length_a 5.952
_cell_length_b 5.952
_cell_length_c 8.452
_cell_angle_alpha 90.00
_cell_angle_beta 90.00
_cell_angle_gamma 90.00
_symmetry_space_group_name_H-M 'I -4'
_symmetry_Int_Tables_number 82
loop_
_symmetry_equiv_pos_as_xyz
'x,y,z'
'y,-x,-z'
'-x,-y,z'
'-y,x,-z'
'x+1/2,y+1/2,z+1/2'
'y+1/2,-x+1/2,-z+1/2'
'-x+1/2,-y+1/2,z+1/2'
'-y+1/2,x+1/2,-z+1/2'
loop_
_atom_site_label
_atom_site_fract_x
_atom_site_fract_y
_atom_site_fract_z
Rb1 0.000 0.000 0.000
In1 0.000 0.000 0.500
Ga1 0.000 0.500 0.750
O1 0.120 0.270 0.628
```

The 8 most intense peaks (2θ from 10° to 90°), by angle:
2θ = 18.2°, d 4.866, rel. 35, hkl 1 0 1; 2θ = 21.1°, d 4.215, rel. 26, hkl 0 0 2; 2θ = 30.0°, d 2.980, rel. 100, hkl 1 1 2; 2θ = 43.0°, d 2.104, rel. 13, hkl 2 2 0; 2θ = 53.2°, d 1.723, rel. 16, hkl 2 0 4; 2θ = 53.3°, d 1.719, rel. 27, hkl 3 1 2; 2θ = 70.8°, d 1.331, rel. 12, hkl 4 2 0; 2θ = 86.5°, d 1.126, rel. 12, hkl 1 5 2